Computed powder diffraction line list
Compound: K2V2F7
Radiation: λ = 1.5418 Å (Cu Kα)
Structure: the PBE+U geometry in Alexandria
No peak broadening, texture or thermal motion is included.

Crystal structure
Cell lengths 6.8567, 11.9807, 5.6058 Å; angles 90.00, 103.54, 90.00 degrees
Space group C2/m (No. 12)
Symmetry-distinct sites (fractional):
K 0.0000 0.1919 0.0000 x4
V 0.2425 0.0000 0.6173 x4
F 0.0000 0.5000 0.5000 x2
F 0.0443 0.0000 0.2886 x4
F 0.2202 0.3511 0.2382 x8

Top 10 peaks for 5 to 70 degrees two-theta, in order of rising 2θ:
- hkl 0 2 0, 14.8 deg, I 27.1
- hkl 1 1 0, 15.2 deg, I 16.9
- hkl 1 1 -1, 19.9 deg, I 21.2
- hkl 0 2 1, 22.0 deg, I 100.0
- hkl 1 1 1, 24.5 deg, I 53.1
- hkl 2 0 -1, 27.9 deg, I 26.5
- hkl 3 1 -1, 40.8 deg, I 22.8
- hkl 1 3 2, 44.9 deg, I 29.8
- hkl 0 6 0, 45.4 deg, I 16.0
- hkl 1 3 -3, 54.2 deg, I 12.6